Diffraction record for HoBO3. The X-ray diffraction stick pattern is simulated, not measured: it uses a crystal structure in the Materials Project, relaxed with GGA-PBE and CuKα.
Lines closer than 0.1° are merged.

Cell and atoms:
```
data_HoBO3
_chemical_formula_sum 'Ho4 B4 O12'
_space_group_name_H-M_alt 'A m a 2'
_space_group_IT_number 40
_space_group_name_Hall 'A 2 -2a'
_cell_length_a 8.619
_cell_length_b 6.698
_cell_length_c 4.106
_cell_angle_alpha 90.00
_cell_angle_beta 90.00
_cell_angle_gamma 90.00
loop_
_atom_site_label
_atom_site_type_symbol
_atom_site_fract_x
_atom_site_fract_y
_atom_site_fract_z
Ho1 Ho 0.000 0.000 0.000
B1 B 0.250 0.129 0.576
O1 O 0.103 0.170 0.450
O2 O 0.250 0.035 0.874
```

Top 8 peaks for 2θ from 5° to 70°, sorted by position:
(hkl), d_spacing, I_rel
2 0 0, 4.309, 72
0 1 1, 3.501, 98
0 2 0, 3.349, 47
2 1 1, 2.717, 100
2 2 0, 2.644, 41
0 3 1, 1.961, 35
4 1 1, 1.835, 44
2 3 1, 1.785, 31


Diffraction record for H. The X-ray diffraction stick pattern is simulated, not measured: it uses a crystal structure in the Materials Project, relaxed with GGA-PBE and CuKα.
Lines closer than 0.1° are merged.

Cell and atoms:
```
data_H
_chemical_formula_sum 'H1'
_space_group_name_H-M_alt 'P 6/m m m'
_space_group_IT_number 191
_space_group_name_Hall '-P 6 2'
_cell_length_a 2.8506
_cell_length_b 2.8506
_cell_length_c 0.9842
_cell_angle_alpha 90.00
_cell_angle_beta 90.00
_cell_angle_gamma 120.00
loop_
_atom_site_label
_atom_site_type_symbol
_atom_site_fract_x
_atom_site_fract_y
_atom_site_fract_z
H1 H 0.0000 0.0000 0.0000
```

Top 2 peaks for 2θ from 5° to 70°, sorted by position:
(hkl), d_spacing, I_rel
1 0 0, 2.469, 100
1 1 0, 1.425, 4


Diffraction record for BaZrSi3O9. The X-ray diffraction stick pattern is simulated, not measured: it uses a crystal structure in the Materials Project, relaxed with GGA-PBE and CuKα.
Lines closer than 0.1° are merged.

Cell and atoms:
```
data_BaZrSi3O9
_chemical_formula_sum 'Ba2 Zr2 Si6 O18'
_space_group_name_H-M_alt 'P -6 c 2'
_space_group_IT_number 188
_space_group_name_Hall 'P -6c 2'
_cell_length_a 6.8701
_cell_length_b 6.8701
_cell_length_c 10.2055
_cell_angle_alpha 90.00
_cell_angle_beta 90.00
_cell_angle_gamma 120.00
loop_
_atom_site_label
_atom_site_type_symbol
_atom_site_fract_x
_atom_site_fract_y
_atom_site_fract_z
Ba1 Ba 0.0000 0.0000 0.0000
Zr1 Zr 0.6667 0.3333 0.0000
Si1 Si 0.0550 0.4464 0.2500
O1 O 0.1389 0.4214 0.7500
O2 O 0.4090 0.0843 0.1172
```

Top 8 peaks for 2θ from 5° to 70°, sorted by position:
(hkl), d_spacing, I_rel
1 0 0, 5.950, 28
1 0 2, 3.873, 95
1 1 0, 3.435, 26
2 0 0, 2.975, 21
1 1 2, 2.850, 100
1 1 4, 2.048, 27
3 0 0, 1.983, 18
3 0 2, 1.849, 20


Diffraction record for UP3. The X-ray diffraction stick pattern is simulated, not measured: it uses a crystal structure in the Materials Project, relaxed with GGA-PBE and CuKα.
Lines closer than 0.1° are merged.

Cell and atoms:
```
data_UP3
_chemical_formula_sum 'U2 P6'
_space_group_name_H-M_alt 'P 63/m m c'
_space_group_IT_number 194
_space_group_name_Hall '-P 6c 2c'
_cell_length_a 5.4077
_cell_length_b 5.4077
_cell_length_c 5.2356
_cell_angle_alpha 90.00
_cell_angle_beta 90.00
_cell_angle_gamma 120.00
loop_
_atom_site_label
_atom_site_type_symbol
_atom_site_fract_x
_atom_site_fract_y
_atom_site_fract_z
U1 U 0.3333 0.6667 0.2500
P1 P 0.1820 0.3640 0.7500
```

Top 8 peaks for 2θ from 5° to 70°, sorted by position:
(hkl), d_spacing, I_rel
1 0 0, 4.683, 44
1 0 1, 3.491, 100
1 1 0, 2.704, 39
0 0 2, 2.618, 31
2 0 1, 2.138, 76
1 1 2, 1.881, 28
2 1 1, 1.677, 33
2 0 3, 1.399, 20


Diffraction record for Fe9Co7. The X-ray diffraction stick pattern is simulated, not measured: it uses a crystal structure in the Materials Project, relaxed with GGA-PBE and CuKα.
Lines closer than 0.1° are merged.

Cell and atoms:
```
data_Fe9Co7
_chemical_formula_sum 'Fe9 Co7'
_space_group_name_H-M_alt 'P m -3 m'
_space_group_IT_number 221
_space_group_name_Hall '-P 4 2 3'
_cell_length_a 5.700
_cell_length_b 5.700
_cell_length_c 5.700
_cell_angle_alpha 90.00
_cell_angle_beta 90.00
_cell_angle_gamma 90.00
loop_
_atom_site_label
_atom_site_type_symbol
_atom_site_fract_x
_atom_site_fract_y
_atom_site_fract_z
Fe1 Fe 0.000 0.000 0.000
Fe2 Fe 0.250 0.250 0.250
Co1 Co 0.000 0.000 0.500
Co2 Co 0.000 0.500 0.500
Co3 Co 0.500 0.500 0.500
```

Top 2 peaks for 2θ from 5° to 70°, sorted by position:
(hkl), d_spacing, I_rel
2 2 0, 2.015, 100
4 0 0, 1.425, 15


Diffraction record for InPd5Se. The X-ray diffraction stick pattern is simulated, not measured: it uses a crystal structure in the Materials Project, relaxed with GGA-PBE and CuKα.
Lines closer than 0.1° are merged.

Cell and atoms:
```
data_InPd5Se
_chemical_formula_sum 'In1 Pd5 Se1'
_space_group_name_H-M_alt 'P 4/m m m'
_space_group_IT_number 123
_space_group_name_Hall '-P 4 2'
_cell_length_a 4.103
_cell_length_b 4.103
_cell_length_c 7.099
_cell_angle_alpha 90.00
_cell_angle_beta 90.00
_cell_angle_gamma 90.00
loop_
_atom_site_label
_atom_site_type_symbol
_atom_site_fract_x
_atom_site_fract_y
_atom_site_fract_z
In1 In 0.000 0.000 0.000
Pd1 Pd 0.000 0.500 0.281
Pd2 Pd 0.500 0.500 0.000
Se1 Se 0.500 0.500 0.500
```

Top 8 peaks for 2θ from 5° to 70°, sorted by position:
(hkl), d_spacing, I_rel
0 0 2, 3.552, 7
1 1 1, 2.685, 19
0 0 3, 2.366, 9
1 1 2, 2.246, 100
2 0 0, 2.051, 43
0 0 4, 1.775, 11
2 0 3, 1.550, 9
2 2 0, 1.451, 14


Diffraction record for NdTh. The X-ray diffraction stick pattern is simulated, not measured: it uses a crystal structure in the Materials Project, relaxed with GGA-PBE and CuKα.
Lines closer than 0.1° are merged.

Cell and atoms:
```
data_NdTh
_chemical_formula_sum 'Nd3 Th3'
_space_group_name_H-M_alt 'R -3 m'
_space_group_IT_number 166
_space_group_name_Hall '-R 3 2"'
_cell_length_a 3.5888
_cell_length_b 3.5888
_cell_length_c 17.9075
_cell_angle_alpha 90.00
_cell_angle_beta 90.00
_cell_angle_gamma 120.00
loop_
_atom_site_label
_atom_site_type_symbol
_atom_site_fract_x
_atom_site_fract_y
_atom_site_fract_z
Nd1 Nd 0.0000 0.0000 0.0000
Th1 Th 0.0000 0.0000 0.5000
```

Top 8 peaks for 2θ from 5° to 70°, sorted by position:
(hkl), d_spacing, I_rel
0 0 6, 2.985, 35
0 1 2, 2.936, 100
1 0 4, 2.553, 69
0 1 8, 1.816, 25
1 1 0, 1.794, 24
1 0 10, 1.552, 15
1 1 6, 1.538, 30
2 0 2, 1.531, 15


Diffraction record for Dy5Si3C. The X-ray diffraction stick pattern is simulated, not measured: it uses a crystal structure in the Materials Project, relaxed with GGA-PBE and CuKα.
Lines closer than 0.1° are merged.

Cell and atoms:
```
data_Dy5Si3C
_chemical_formula_sum 'Dy10 Si6 C2'
_space_group_name_H-M_alt 'P 63/m c m'
_space_group_IT_number 193
_space_group_name_Hall '-P 6c 2'
_cell_length_a 8.4643
_cell_length_b 8.4643
_cell_length_c 6.3824
_cell_angle_alpha 90.00
_cell_angle_beta 90.00
_cell_angle_gamma 120.00
loop_
_atom_site_label
_atom_site_type_symbol
_atom_site_fract_x
_atom_site_fract_y
_atom_site_fract_z
Dy1 Dy 0.0000 0.2240 0.2500
Dy2 Dy 0.3333 0.6667 0.0000
Si1 Si 0.0000 0.4072 0.7500
C1 C 0.0000 0.0000 0.0000
```

Top 8 peaks for 2θ from 5° to 70°, sorted by position:
(hkl), d_spacing, I_rel
1 1 1, 3.527, 19
1 0 2, 2.926, 33
2 1 0, 2.771, 31
1 1 2, 2.544, 100
2 2 2, 1.764, 16
2 1 3, 1.687, 17
4 1 0, 1.600, 16
4 0 2, 1.589, 14